# 1
Starting from the GGA-PBE geometry in Alexandria, the X-ray powder pattern of UH10CSe2N4O8 was simulated for a wavelength of 1.5418 Å.
Intensities are scaled so that the largest is 100.

Atomic structure:
a b c (Å): 7.1872 9.5635 9.8122
angles (deg): 88.82 70.69 76.39
Space group P-1 (No. 2)
Inequivalent atoms, fractional coordinates:
U (0.2465, 0.0302, 0.1951) (multiplicity 2)
H (0.0305, 0.5900, 0.7700) (multiplicity 2)
H (0.0878, 0.2511, 0.5007) (multiplicity 2)
H (0.1683, 0.7411, 0.9045) (multiplicity 2)
H (0.2074, 0.6756, 0.2914) (multiplicity 2)
H (0.2285, 0.5264, 0.1787) (multiplicity 2)
H (0.2462, 0.5357, 0.6212) (multiplicity 2)
H (0.3027, 0.3142, 0.4921) (multiplicity 2)
H (0.3469, 0.5904, 0.9034) (multiplicity 2)
H (0.3822, 0.6999, 0.7601) (multiplicity 2)
H (0.3933, 0.7548, 0.9199) (multiplicity 2)
C (0.0403, 0.4114, 0.6540) (multiplicity 2)
Se (0.2748, 0.2792, 0.9376) (multiplicity 2)
Se (0.2811, 0.8636, 0.5238) (multiplicity 2)
N (0.1243, 0.5079, 0.6951) (multiplicity 2)
N (0.1511, 0.3190, 0.5403) (multiplicity 2)
N (0.1514, 0.5920, 0.2711) (multiplicity 2)
N (0.3246, 0.6970, 0.8721) (multiplicity 2)
O (0.0232, 0.8633, 0.6092) (multiplicity 2)
O (0.0911, 0.2480, 0.0962) (multiplicity 2)
O (0.0952, 0.9394, 0.1283) (multiplicity 2)
O (0.2908, 0.8398, 0.3444) (multiplicity 2)
O (0.3362, 0.4254, 0.9858) (multiplicity 2)
O (0.3947, 0.1146, 0.2727) (multiplicity 2)
O (0.4035, 0.7008, 0.5593) (multiplicity 2)
O (0.4652, 0.1352, 0.9637) (multiplicity 2)

Principal peaks in the range 10° ≤ 2θ ≤ 90°, by angle:
two_theta	d (Å)	intensity	h k l
13.65	6.486	42.0	1 0 1
15.06	5.881	100.0	1 1 1
21.27	4.178	41.5	1 2 1
22.99	3.868	54.3	-1 1 1
26.41	3.375	28.1	0 2 -2
27.10	3.291	26.0	2 0 0
28.85	3.095	35.7	1 -2 2
29.94	2.984	25.8	0 1 -3

---

# 2
Starting from the GGA-PBE geometry in Alexandria, the X-ray powder pattern of SiH3CNO was simulated for a wavelength of 1.5418 Å.
Intensities are scaled so that the largest is 100.

Atomic structure:
a b c (Å): 8.0491 7.2673 7.3136
angles (deg): 90.00 90.00 90.00
Space group Pnma (No. 62)
Inequivalent atoms, fractional coordinates:
Si (0.2455, 0.2500, 0.1800) (multiplicity 4)
H (0.1486, 0.0811, 0.1382) (multiplicity 8)
H (0.1952, 0.7500, 0.8722) (multiplicity 4)
C (0.0061, 0.7500, 0.3993) (multiplicity 4)
N (0.0762, 0.7500, 0.5451) (multiplicity 4)
O (0.0715, 0.2500, 0.7386) (multiplicity 4)

Principal peaks in the range 10° ≤ 2θ ≤ 90°, by angle:
two_theta	d (Å)	intensity	h k l
16.38	5.413	48.7	1 0 1
20.46	4.341	41.5	1 1 1
24.50	3.634	100.0	0 2 0
26.78	3.329	22.6	1 0 2
28.13	3.172	93.9	2 1 1
29.60	3.018	25.3	1 2 1
35.42	2.534	22.2	2 1 2
45.43	1.997	19.8	2 3 1

---

# 3
Starting from the GGA-PBE geometry in Alexandria, the X-ray powder pattern of SmH9C5N2O8 was simulated for a wavelength of 1.5418 Å.
Intensities are scaled so that the largest is 100.

Atomic structure:
a b c (Å): 6.8582 18.7473 8.7513
angles (deg): 90.00 90.00 90.00
Space group C222_1 (No. 20)
Inequivalent atoms, fractional coordinates:
Sm (0.0000, 0.1422, 0.2500) (multiplicity 4)
H (0.0000, 0.3188, 0.7500) (multiplicity 4)
H (0.0000, 0.3449, 0.2500) (multiplicity 4)
H (0.1552, 0.4901, 0.3242) (multiplicity 8)
H (0.2036, 0.2883, 0.0547) (multiplicity 8)
H (0.2303, 0.4048, 0.3937) (multiplicity 8)
H (0.2468, 0.0000, 0.5000) (multiplicity 4)
C (0.0000, 0.3779, 0.7500) (multiplicity 4)
C (0.0000, 0.4034, 0.2500) (multiplicity 4)
C (0.0850, 0.0000, 0.5000) (multiplicity 4)
C (0.2319, 0.2436, 0.9746) (multiplicity 8)
N (0.1370, 0.4356, 0.3297) (multiplicity 8)
O (0.0032, 0.0502, 0.0673) (multiplicity 8)
O (0.1635, 0.4093, 0.7603) (multiplicity 8)
O (0.1773, 0.1819, 0.0152) (multiplicity 8)
O (0.1824, 0.2423, 0.3495) (multiplicity 8)

Principal peaks in the range 10° ≤ 2θ ≤ 90°, by angle:
two_theta	d (Å)	intensity	h k l
13.82	6.406	100.0	0 2 1
17.09	5.187	58.7	1 1 1
19.21	4.619	15.5	1 3 0
20.30	4.376	11.6	0 0 2
21.76	4.085	11.1	1 3 1
27.89	3.198	22.4	0 4 2
28.09	3.177	18.0	1 3 2
29.56	3.022	19.0	2 2 1